[1]
The following is a computed powder XRD pattern of Ba4MnGa2S6F4. It was derived from a cell relaxed with GGA+U, using λ = 1.5418 Å (Cu Kα).

The 10 most intense peaks (10° ≤ 2θ ≤ 90°), sorted by position:
index  2θ/deg  d_spacing  I (rel.)
3 1 2  24.29  3.664  100.0
0 0 4  27.50  3.243  25.6
6 0 0  28.19  3.166  23.6
0 2 0  28.66  3.115  23.6
5 1 2  30.82  2.901  38.2
6 0 4  39.79  2.265  15.3
0 2 4  40.14  2.246  33.3
6 2 0  40.64  2.220  13.6
9 1 2  47.60  1.910  25.1
5 3 2  52.14  1.754  13.2

Cell and atoms:
Cell lengths 18.9949, 6.2291, 12.9718 Å; angles 90.00, 90.00, 90.00 degrees
Space group Cmce (No. 64)
One atom of each set of equivalent atoms:
Ba (0.1717, 0.2356, 0.1254) (multiplicity 16)
Mn (0.0000, 0.0000, 0.5000) (multiplicity 4)
Ga (0.0000, 0.1437, 0.8260) (multiplicity 8)
S (0.0000, 0.2303, 0.1569) (multiplicity 8)
S (0.1003, 0.2251, 0.3957) (multiplicity 16)
F (0.2476, 0.0000, 0.5000) (multiplicity 8)
F (0.2500, 0.0156, 0.7500) (multiplicity 8)

=====

[2]
The following is a computed powder XRD pattern of KBa2Ni2F9. It was derived from a cell relaxed with GGA+U, using λ = 1.5418 Å (Cu Kα).

The 10 most intense peaks (10° ≤ 2θ ≤ 90°), sorted by position:
index  2θ/deg  d_spacing  I (rel.)
1 0 1  18.04  4.917  19.6
0 1 5  27.57  3.235  100.0
1 1 0  30.62  2.920  74.9
0 2 4  39.54  2.279  18.9
2 0 5  41.67  2.168  69.7
1 0 10  46.75  1.943  24.8
1 2 5  52.58  1.740  34.1
0 2 10  56.93  1.618  16.3
2 2 0  63.75  1.460  20.7
2 1 10  66.03  1.415  16.5

Cell and atoms:
Cell lengths 5.8397, 5.8397, 21.0452 Å; angles 90.00, 90.00, 120.00 degrees
Space group R3m (No. 160, hexagonal axes)
One atom of each set of equivalent atoms:
K (0.0000, 0.0000, 0.0000) (multiplicity 3)
Ba (0.0000, 0.0000, 0.5816) (multiplicity 3)
Ba (0.0000, 0.0000, 0.7872) (multiplicity 3)
Ni (0.0000, 0.0000, 0.1795) (multiplicity 3)
Ni (0.0000, 0.0000, 0.3943) (multiplicity 3)
F (0.0048, 0.5024, 0.5598) (multiplicity 9)
F (0.1699, 0.3398, 0.1231) (multiplicity 9)
F (0.1708, 0.3415, 0.3493) (multiplicity 9)

=====

[3]
The following is a computed powder XRD pattern of BaMgMnF7. It was derived from a cell relaxed with GGA+U, using λ = 1.5418 Å (Cu Kα).

The 10 most intense peaks (10° ≤ 2θ ≤ 90°), sorted by position:
index  2θ/deg  d_spacing  I (rel.)
0 2 0  17.79  4.987  19.8
1 2 -1  25.03  3.558  100.0
1 2 1  25.79  3.454  30.8
1 1 2  26.54  3.359  53.9
0 1 3  29.40  3.038  18.0
2 0 0  31.05  2.880  32.9
2 2 -2  39.79  2.265  28.7
1 4 1  40.80  2.212  40.1
0 2 4  41.89  2.157  25.1
3 2 -1  51.28  1.782  18.1

Cell and atoms:
Cell lengths 5.7748, 9.9689, 9.5892 Å; angles 90.00, 93.76, 90.00 degrees
Space group P2_1/c (No. 14)
One atom of each set of equivalent atoms:
Ba (0.2275, 0.1838, 0.9999) (multiplicity 4)
Mg (0.1930, 0.6021, 0.8095) (multiplicity 4)
Mn (0.3075, 0.6103, 0.1879) (multiplicity 4)
F (0.0211, 0.7223, 0.2566) (multiplicity 4)
F (0.1181, 0.5409, 0.6219) (multiplicity 4)
F (0.1283, 0.0465, 0.6329) (multiplicity 4)
F (0.2398, 0.6864, 0.0073) (multiplicity 4)
F (0.3700, 0.0563, 0.3755) (multiplicity 4)
F (0.3848, 0.5415, 0.3645) (multiplicity 4)
F (0.4663, 0.7211, 0.7512) (multiplicity 4)

=====

[4]
The following is a computed powder XRD pattern of Ba10MgMn6O24F2. It was derived from a cell relaxed with GGA+U, using λ = 1.5418 Å (Cu Kα).

The 10 most intense peaks (10° ≤ 2θ ≤ 90°), sorted by position:
index  2θ/deg  d_spacing  I (rel.)
1 2 -1  24.95  3.569  78.7
2 0 -3  25.12  3.545  61.8
1 1 2  27.50  3.243  75.2
2 1 -3  27.68  3.222  50.0
3 1 -2  27.97  3.190  90.1
0 0 3  28.30  3.154  100.0
1 2 -2  28.35  3.148  70.0
2 2 -1  28.52  3.130  67.4
3 0 0  28.75  3.105  73.0
2 2 -4  40.58  2.223  81.4

Cell and atoms:
Cell lengths 10.6934, 7.7222, 10.8741 Å; angles 90.00, 119.37, 90.00 degrees
Space group Pm (No. 6)
One atom of each set of equivalent atoms:
Ba (0.0000, 0.0000, 0.0000) (multiplicity 1)
Ba (0.0271, 0.5000, 0.7637) (multiplicity 1)
Ba (0.2629, 0.5000, 0.2375) (multiplicity 1)
Ba (0.3029, 0.0000, 0.8893) (multiplicity 1)
Ba (0.4850, 0.5000, 0.0028) (multiplicity 1)
Ba (0.5718, 0.2534, 0.6720) (multiplicity 2)
Ba (0.5793, 0.0000, 0.3340) (multiplicity 1)
Ba (0.9115, 0.2593, 0.3107) (multiplicity 2)
Mg (0.0639, 0.0000, 0.5773) (multiplicity 1)
Mn (0.2249, 0.0000, 0.3560) (multiplicity 1)
Mn (0.2736, 0.5000, 0.6289) (multiplicity 1)
Mn (0.6362, 0.5000, 0.4206) (multiplicity 1)
Mn (0.6539, 0.0000, 0.0389) (multiplicity 1)
Mn (0.8501, 0.5000, 0.9645) (multiplicity 1)
Mn (0.8946, 0.0000, 0.6606) (multiplicity 1)
O (0.0435, 0.1642, 0.7097) (multiplicity 2)
O (0.0894, 0.5000, 0.5232) (multiplicity 1)
O (0.1251, 0.0000, 0.4434) (multiplicity 1)
O (0.1622, 0.1760, 0.2460) (multiplicity 2)
O (0.3364, 0.3236, 0.7409) (multiplicity 2)
O (0.3606, 0.5000, 0.5302) (multiplicity 1)
O (0.4038, 0.0000, 0.4678) (multiplicity 1)
O (0.5219, 0.3254, 0.3728) (multiplicity 2)
O (0.5601, 0.0000, 0.8592) (multiplicity 1)
O (0.6072, 0.1749, 0.1058) (multiplicity 2)
O (0.6653, 0.5000, 0.8895) (multiplicity 1)
O (0.7186, 0.0000, 0.6502) (multiplicity 1)
O (0.7322, 0.5000, 0.6016) (multiplicity 1)
O (0.7348, 0.5000, 0.3338) (multiplicity 1)
O (0.8385, 0.0000, 0.1143) (multiplicity 1)
O (0.8533, 0.0000, 0.4431) (multiplicity 1)
O (0.8994, 0.3212, 0.9050) (multiplicity 2)
O (0.9353, 0.5000, 0.1461) (multiplicity 1)
F (0.2798, 0.2919, 0.0179) (multiplicity 2)

=====

[5]
The following is a computed powder XRD pattern of Ba10MgMn6O24F2. It was derived from a cell relaxed with GGA+U, using λ = 1.5418 Å (Cu Kα).

The 10 most intense peaks (10° ≤ 2θ ≤ 90°), sorted by position:
index  2θ/deg  d_spacing  I (rel.)
2 0 -1  25.45  3.500  23.8
0 1 3  25.70  3.467  30.7
0 3 2  25.97  3.431  24.5
1 -2 1  27.52  3.241  34.3
2 1 2  27.83  3.206  71.7
1 2 -1  28.15  3.170  62.2
2 2 1  28.36  3.147  40.3
-1 1 3  28.81  3.099  47.0
-2 2 1  28.92  3.087  100.0
4 0 0  46.98  1.934  24.5

Cell and atoms:
Cell lengths 7.7498, 10.5292, 10.5594 Å; angles 61.52, 86.64, 89.00 degrees
Space group P-1 (No. 2)
One atom of each set of equivalent atoms:
Ba (0.0047, 0.3195, 0.3619) (multiplicity 2)
Ba (0.2280, 0.2461, 0.7643) (multiplicity 2)
Ba (0.2467, 0.7802, 0.9862) (multiplicity 2)
Ba (0.2675, 0.0005, 0.2371) (multiplicity 2)
Ba (0.4939, 0.6661, 0.6737) (multiplicity 2)
Mg (0.0000, 0.5000, 0.0000) (multiplicity 1)
Mn (0.2433, 0.0303, 0.5995) (multiplicity 2)
Mn (0.2706, 0.6026, 0.3667) (multiplicity 2)
Mn (0.2822, 0.3762, 0.0255) (multiplicity 2)
O (0.0611, 0.0978, 0.6474) (multiplicity 2)
O (0.0850, 0.2714, 0.0727) (multiplicity 2)
O (0.0952, 0.6606, 0.2616) (multiplicity 2)
O (0.2066, 0.5160, 0.8501) (multiplicity 2)
O (0.2216, 0.4797, 0.1165) (multiplicity 2)
O (0.2338, 0.8474, 0.6743) (multiplicity 2)
O (0.2535, 0.4175, 0.4732) (multiplicity 2)
O (0.2588, 0.1182, 0.4133) (multiplicity 2)
O (0.2761, 0.6910, 0.4670) (multiplicity 2)
O (0.4091, 0.0854, 0.6633) (multiplicity 2)
O (0.4489, 0.6407, 0.2493) (multiplicity 2)
O (0.4507, 0.2535, 0.1127) (multiplicity 2)
F (0.0000, 0.0000, 0.0000) (multiplicity 1)
F (0.5000, 0.0000, 0.0000) (multiplicity 1)

=====

[6]
The following is a computed powder XRD pattern of Ba10MgMn6O24F2. It was derived from a cell relaxed with GGA+U, using λ = 1.5418 Å (Cu Kα).

The 10 most intense peaks (10° ≤ 2θ ≤ 90°), sorted by position:
index  2θ/deg  d_spacing  I (rel.)
0 2 0  21.77  4.083  27.6
0 2 1  23.82  3.735  24.7
1 2 1  27.42  3.253  33.3
2 2 -1  27.65  3.226  100.0
1 1 -3  28.04  3.183  48.8
2 1 -3  28.30  3.154  47.2
3 0 0  28.99  3.080  35.2
4 2 -2  40.89  2.207  24.2
1 3 -3  42.28  2.138  23.1
3 3 -2  42.45  2.130  23.3

Cell and atoms:
Cell lengths 10.4950, 8.1666, 10.5025 Å; angles 90.00, 118.33, 90.00 degrees
Space group Pm (No. 6)
One atom of each set of equivalent atoms:
Ba (0.0000, 0.0000, 0.0000) (multiplicity 1)
Ba (0.0194, 0.5000, 0.8191) (multiplicity 1)
Ba (0.2172, 0.0000, 0.7518) (multiplicity 1)
Ba (0.2448, 0.5000, 0.2434) (multiplicity 1)
Ba (0.4831, 0.5000, 0.0205) (multiplicity 1)
Ba (0.5070, 0.0000, 0.2837) (multiplicity 1)
Ba (0.5517, 0.2448, 0.6646) (multiplicity 2)
Ba (0.9264, 0.2959, 0.4068) (multiplicity 2)
Mg (0.8541, 0.0000, 0.2418) (multiplicity 1)
Mn (0.2270, 0.5000, 0.6291) (multiplicity 1)
Mn (0.2544, 0.0000, 0.3976) (multiplicity 1)
Mn (0.5778, 0.0000, 0.9482) (multiplicity 1)
Mn (0.6394, 0.5000, 0.4035) (multiplicity 1)
Mn (0.8484, 0.0000, 0.6265) (multiplicity 1)
Mn (0.8641, 0.5000, 0.0423) (multiplicity 1)
O (0.0447, 0.0000, 0.2773) (multiplicity 1)
O (0.1461, 0.5000, 0.4424) (multiplicity 1)
O (0.1532, 0.3328, 0.6699) (multiplicity 2)
O (0.3314, 0.1724, 0.3584) (multiplicity 2)
O (0.3436, 0.0000, 0.5921) (multiplicity 1)
O (0.4104, 0.5000, 0.7165) (multiplicity 1)
O (0.4730, 0.1707, 0.8894) (multiplicity 2)
O (0.5349, 0.5000, 0.4882) (multiplicity 1)
O (0.6101, 0.3314, 0.2965) (multiplicity 2)
O (0.6542, 0.0000, 0.1353) (multiplicity 1)
O (0.6601, 0.0000, 0.5633) (multiplicity 1)
O (0.7096, 0.0000, 0.8956) (multiplicity 1)
O (0.7419, 0.5000, 0.8607) (multiplicity 1)
O (0.7891, 0.5000, 0.1593) (multiplicity 1)
O (0.8241, 0.5000, 0.5262) (multiplicity 1)
O (0.8692, 0.0000, 0.4410) (multiplicity 1)
O (0.9412, 0.1647, 0.7423) (multiplicity 2)
O (0.9779, 0.3341, 0.0793) (multiplicity 2)
F (0.2595, 0.3227, 0.0227) (multiplicity 2)